No. 1
This entry pairs a crystal structure of PrDyY2Er5 with its calculated XRD peak list. Radiation: copper Kα. Structure: DFT lattice parameters and positions (PBE).
Peak positions follow from Bragg's law for the DFT cell and can differ from measured ones.

Cell: 10.236 10.236 10.571 Å, 90.00 90.00 148.23°
Atoms (fractional coordinates):
Pr 0.083 0.917 0.500
Pr 0.917 0.083 0.000
Dy 0.299 0.701 0.059
Dy 0.701 0.299 0.559
Y 0.387 0.613 0.366
Y 0.389 0.611 0.780
Y 0.611 0.389 0.280
Y 0.613 0.387 0.866
Er 0.021 0.979 0.783
Er 0.111 0.889 0.068
Er 0.202 0.798 0.756
Er 0.218 0.782 0.358
Er 0.481 0.519 0.073
Er 0.519 0.481 0.573
Er 0.782 0.218 0.858
Er 0.798 0.202 0.256
Er 0.889 0.111 0.568
Er 0.979 0.021 0.283

Largest 10 diffraction maxima, sorted by position, 2θ from 10° to 90°:
d [Å]	I_rel
3.134	21.9
2.949	40.6
2.802	40.7
2.751	100.0
2.643	13.1
2.089	14.2
1.777	11.3
1.608	19.9
1.535	13.8
1.501	13.0

***

No. 2
This entry pairs a crystal structure of SrErPaS6 with its calculated XRD peak list. Radiation: copper Kα. Structure: DFT lattice parameters and positions (PBE).
Peak positions follow from Bragg's law for the DFT cell and can differ from measured ones.

Cell: 7.078 7.078 5.865 Å, 90.00 90.00 120.00°
Atoms (fractional coordinates):
Sr 0.000 0.000 0.000
Er 0.333 0.667 0.000
Pa 0.667 0.333 0.500
S 0.376 0.006 0.249
S 0.376 0.370 0.751
S 0.630 0.006 0.751
S 0.630 0.624 0.249
S 0.994 0.370 0.249
S 0.994 0.624 0.751

Largest 10 diffraction maxima, sorted by position, 2θ from 10° to 90°:
d [Å]	I_rel
6.130	19.1
4.238	100.0
3.539	36.3
2.716	32.6
2.258	49.2
2.155	35.1
2.043	22.6
1.633	15.2
1.515	12.9
1.217	12.6